This entry pairs a crystal structure of LiMn2B2O6 with its simulated XRD peak list. Radiation: Cu Kα (weighted mean of Kα1 and Kα2). Structure: a cell relaxed with PBE+U.

Largest 10 diffraction maxima, in order of rising 2θ, 10 to 90 degrees two-theta:
hkl 1 -1 0, 19.79 deg, 4.485 Å, I = 66
hkl 1 1 -1, 21.37 deg, 4.158 Å, I = 37
hkl 0 2 -1, 21.59 deg, 4.117 Å, I = 70
hkl 1 1 2, 25.67 deg, 3.470 Å, I = 24
hkl 0 2 2, 25.78 deg, 3.455 Å, I = 28
hkl 1 1 -2, 26.27 deg, 3.393 Å, I = 19
hkl 2 0 0, 34.26 deg, 2.617 Å, I = 27
hkl 0 0 4, 34.68 deg, 2.587 Å, I = 100
hkl 0 4 1, 40.47 deg, 2.229 Å, I = 20
hkl 2 -2 1, 41.19 deg, 2.192 Å, I = 18

Structural model:
a b c (Å): 5.237 9.086 10.345
angles (deg): 88.52 89.34 88.51
Fractional coordinates of all 44 atoms:
1 Li 0.000 0.000 0.000
2 Li 0.004 0.984 0.463
3 Li 0.646 0.630 0.719
4 Li 0.702 0.637 0.252
5 Mn 0.003 0.340 0.021
6 Mn 0.043 0.639 0.520
7 Mn 0.156 0.831 0.766
8 Mn 0.209 0.453 0.277
9 Mn 0.483 0.168 0.523
10 Mn 0.519 0.796 0.013
11 Mn 0.623 0.981 0.269
12 Mn 0.683 0.287 0.780
13 B 0.029 0.646 0.034
14 B 0.169 0.489 0.772
15 B 0.169 0.803 0.284
16 B 0.504 0.139 0.023
17 B 0.505 0.822 0.515
18 B 0.663 0.982 0.780
19 B 0.709 0.314 0.267
20 B 0.981 0.306 0.533
21 O 0.000 0.392 0.835
22 O 0.021 0.927 0.277
23 O 0.041 0.611 0.710
24 O 0.064 0.668 0.329
25 O 0.095 0.172 0.516
26 O 0.096 0.431 0.482
27 O 0.138 0.771 0.979
28 O 0.183 0.519 0.062
29 O 0.238 0.826 0.544
30 O 0.251 0.154 0.018
31 O 0.423 0.472 0.773
32 O 0.430 0.797 0.249
33 O 0.515 0.104 0.735
34 O 0.545 0.847 0.804
35 O 0.592 0.445 0.288
36 O 0.597 0.187 0.315
37 O 0.607 0.953 0.462
38 O 0.632 0.013 0.080
39 O 0.656 0.703 0.541
40 O 0.672 0.243 0.968
41 O 0.745 0.322 0.596
42 O 0.778 0.643 0.066
43 O 0.913 0.001 0.807
44 O 0.947 0.303 0.204

---

This entry pairs a crystal structure of Li5Mn6B6O18 with its simulated XRD peak list. Radiation: Cu Kα (weighted mean of Kα1 and Kα2). Structure: a cell relaxed with PBE+U.

Largest 10 diffraction maxima, in order of rising 2θ, 10 to 90 degrees two-theta:
hkl 0 1 -1, 21.28 deg, 4.176 Å, I = 86
hkl 0 2 1, 21.59 deg, 4.116 Å, I = 88
hkl 0 1 2, 21.65 deg, 4.104 Å, I = 95
hkl 2 -1 0, 30.84 deg, 2.899 Å, I = 34
hkl 2 1 0, 35.41 deg, 2.535 Å, I = 30
hkl 2 2 2, 35.62 deg, 2.520 Å, I = 64
hkl 2 1 3, 35.75 deg, 2.512 Å, I = 100
hkl 0 0 3, 37.58 deg, 2.394 Å, I = 31
hkl 0 3 3, 38.11 deg, 2.362 Å, I = 34
hkl 4 0 2, 58.07 deg, 1.588 Å, I = 28

Structural model:
a b c (Å): 6.353 8.235 8.797
angles (deg): 63.05 68.95 89.79
Fractional coordinates of all 35 atoms:
1 Li 0.000 0.000 0.000
2 Li 0.126 0.580 0.744
3 Li 0.331 0.270 0.320
4 Li 0.489 0.001 0.001
5 Li 0.841 0.271 0.319
6 Mn 0.047 0.893 0.396
7 Mn 0.241 0.649 0.017
8 Mn 0.421 0.308 0.650
9 Mn 0.559 0.915 0.379
10 Mn 0.735 0.643 0.017
11 Mn 0.908 0.308 0.662
12 B 0.147 0.961 0.681
13 B 0.226 0.273 0.029
14 B 0.312 0.620 0.352
15 B 0.666 0.964 0.679
16 B 0.735 0.276 0.029
17 B 0.827 0.619 0.348
18 O 0.059 0.847 0.871
19 O 0.136 0.185 0.224
20 O 0.191 0.152 0.600
21 O 0.198 0.873 0.569
22 O 0.219 0.513 0.543
23 O 0.264 0.462 0.923
24 O 0.273 0.164 0.940
25 O 0.337 0.816 0.275
26 O 0.380 0.546 0.234
27 O 0.563 0.848 0.869
28 O 0.632 0.202 0.223
29 O 0.696 0.155 0.603
30 O 0.723 0.511 0.536
31 O 0.737 0.892 0.555
32 O 0.767 0.155 0.954
33 O 0.808 0.464 0.913
34 O 0.879 0.816 0.273
35 O 0.884 0.548 0.226

---

This entry pairs a crystal structure of LiMn2B2O6 with its simulated XRD peak list. Radiation: Cu Kα (weighted mean of Kα1 and Kα2). Structure: a cell relaxed with PBE+U.

Largest 10 diffraction maxima, in order of rising 2θ, 10 to 90 degrees two-theta:
hkl 0 0 2, 20.04 deg, 4.430 Å, I = 100
hkl 1 -1 1, 20.64 deg, 4.304 Å, I = 23
hkl 1 0 1, 21.91 deg, 4.056 Å, I = 48
hkl -1 1 1, 22.89 deg, 3.885 Å, I = 66
hkl 1 0 -3, 33.86 deg, 2.648 Å, I = 53
hkl 1 -1 3, 33.99 deg, 2.638 Å, I = 19
hkl 0 2 0, 35.21 deg, 2.549 Å, I = 64
hkl 1 0 3, 37.36 deg, 2.407 Å, I = 33
hkl 2 -1 2, 39.39 deg, 2.287 Å, I = 24
hkl 2 0 -2, 40.68 deg, 2.218 Å, I = 30

Structural model:
a b c (Å): 5.311 5.769 9.148
angles (deg): 103.22 90.07 114.09
Fractional coordinates of all 22 atoms:
1 Li 0.181 0.169 0.282
2 Li 0.819 0.831 0.718
3 Mn 0.214 0.252 0.939
4 Mn 0.288 0.755 0.551
5 Mn 0.712 0.245 0.449
6 Mn 0.786 0.748 0.061
7 B 0.195 0.241 0.612
8 B 0.300 0.754 0.876
9 B 0.700 0.246 0.124
10 B 0.805 0.759 0.388
11 O 0.040 0.206 0.729
12 O 0.089 0.844 0.897
13 O 0.137 0.349 0.497
14 O 0.368 0.651 0.987
15 O 0.396 0.147 0.585
16 O 0.448 0.771 0.755
17 O 0.552 0.229 0.245
18 O 0.604 0.853 0.415
19 O 0.632 0.349 0.013
20 O 0.863 0.651 0.503
21 O 0.911 0.156 0.103
22 O 0.960 0.794 0.271